Calculated PXRD pattern of AlHgS2 for Cu Kα, 1.54184 Å, from the GGA-PBE geometry in Alexandria.
Peak positions follow from Bragg's law for the DFT cell and can differ from measured ones.

Principal peaks in the range 2θ from 10° to 90°, sorted by position:
d_spacing  2theta  Rel. int.  (hkl)
5.580  15.88  100  1 1 0
3.945  22.54  87  2 0 0
2.979  29.99  31  0 0 2
2.790  32.08  50  2 2 0
2.628  34.11  65  1 1 2
2.495  35.99  58  3 1 0
1.913  47.53  83  3 1 2
1.764  51.81  28  4 2 0

Crystal structure
abc: 7.891 7.891 5.959
angles: 90.00 90.00 90.00
Space group I4cm (No. 108)
One atom of each set of equivalent atoms:
Al (0.000, 0.500, 0.000) (multiplicity 4)
Hg (0.000, 0.000, 0.251) (multiplicity 4)
S (0.154, 0.346, 0.250) (multiplicity 8)

=====

Calculated PXRD pattern of TbDy4Mg5 for Cu Kα, 1.54184 Å, from the GGA-PBE geometry in Alexandria.
Peak positions follow from Bragg's law for the DFT cell and can differ from measured ones.

Principal peaks in the range 2θ from 10° to 90°, sorted by position:
d_spacing  2theta  Rel. int.  (hkl)
3.789  23.48  63  1 0 0
2.679  33.45  100  1 1 0
2.188  41.27  20  1 1 5
1.896  47.97  12  2 0 0
1.696  54.08  18  2 1 0
1.548  59.75  25  2 1 5
1.545  59.85  12  1 1 10
1.199  80.01  11  3 1 0

Crystal structure
abc: 3.793 3.793 18.906
angles: 90.00 90.00 90.00
Space group P4/mmm (No. 123)
One atom of each set of equivalent atoms:
Tb (0.000, 0.000, 0.000) (multiplicity 1)
Dy (0.000, 0.000, 0.200) (multiplicity 2)
Dy (0.000, 0.000, 0.400) (multiplicity 2)
Mg (0.500, 0.500, 0.101) (multiplicity 2)
Mg (0.500, 0.500, 0.300) (multiplicity 2)
Mg (0.500, 0.500, 0.500) (multiplicity 1)

=====

Calculated PXRD pattern of Cs4TmNp3O12 for Cu Kα, 1.54184 Å, from the GGA-PBE geometry in Alexandria.
Peak positions follow from Bragg's law for the DFT cell and can differ from measured ones.

Principal peaks in the range 2θ from 10° to 90°, sorted by position:
d_spacing  2theta  Rel. int.  (hkl)
4.381  20.27  11  2 0 0
3.098  28.82  100  2 2 0
2.191  41.21  27  4 0 0
1.789  51.06  42  4 2 2
1.549  59.69  18  4 4 0
1.386  67.62  19  6 2 0
1.265  75.11  6  4 4 4
1.171  82.35  22  6 4 2

Crystal structure
abc: 8.763 8.763 8.763
angles: 90.00 90.00 90.00
Space group Im-3m (No. 229)
One atom of each set of equivalent atoms:
Cs (0.250, 0.250, 0.250) (multiplicity 8)
Tm (0.000, 0.000, 0.000) (multiplicity 2)
Np (0.000, 0.000, 0.500) (multiplicity 6)
O (0.000, 0.000, 0.267) (multiplicity 12)
O (0.000, 0.250, 0.500) (multiplicity 12)

=====

Calculated PXRD pattern of Ag2BiSe2Br for Cu Kα, 1.54184 Å, from the GGA-PBE geometry in Alexandria.
Peak positions follow from Bragg's law for the DFT cell and can differ from measured ones.

Principal peaks in the range 2θ from 10° to 90°, sorted by position:
d_spacing  2theta  Rel. int.  (hkl)
5.978  14.82  60  1 0 -1
3.874  22.96  70  0 2 0
3.212  27.78  100  1 1 1
3.125  28.57  73  2 1 -1
2.609  34.37  61  1 2 1
2.416  37.21  77  0 2 2
2.365  38.06  44  2 2 -2
1.937  46.89  53  0 4 0

Crystal structure
abc: 6.829 7.749 7.054
angles: 90.00 118.77 90.00
Space group P2_1/m (No. 11)
One atom of each set of equivalent atoms:
Ag (0.003, 0.250, 0.071) (multiplicity 2)
Ag (0.410, 0.250, 0.913) (multiplicity 2)
Bi (0.391, 0.750, 0.503) (multiplicity 2)
Se (0.334, 0.502, 0.164) (multiplicity 4)
Br (0.021, 0.250, 0.492) (multiplicity 2)

=====

Calculated PXRD pattern of LaBePt3 for Cu Kα, 1.54184 Å, from the GGA-PBE geometry in Alexandria.
Peak positions follow from Bragg's law for the DFT cell and can differ from measured ones.

Principal peaks in the range 2θ from 10° to 90°, sorted by position:
d_spacing  2theta  Rel. int.  (hkl)
2.820  31.73  18  0 2 1
2.713  33.01  100  2 0 2
2.467  36.42  44  0 2 2
2.252  40.04  35  2 2 0
2.204  40.94  29  0 0 4
2.182  41.39  18  2 2 1
1.575  58.61  23  2 2 4
1.411  66.23  24  0 4 2

Crystal structure
abc: 6.886 5.953 8.817
angles: 90.00 90.00 90.00
Space group Cmcm (No. 63)
One atom of each set of equivalent atoms:
La (0.000, 0.069, 0.250) (multiplicity 4)
Be (0.000, 0.500, 0.000) (multiplicity 4)
Pt (0.000, 0.401, 0.750) (multiplicity 4)
Pt (0.250, 0.250, 0.000) (multiplicity 8)

=====

Calculated PXRD pattern of CuPH6NO5 for Cu Kα, 1.54184 Å, from the GGA-PBE geometry in Alexandria.
Peak positions follow from Bragg's law for the DFT cell and can differ from measured ones.

Principal peaks in the range 2θ from 10° to 90°, sorted by position:
d_spacing  2theta  Rel. int.  (hkl)
4.801  18.48  17  1 1 0
4.212  21.09  31  0 1 1
3.389  26.30  34  1 1 1
2.853  31.35  40  2 0 0
2.827  31.65  100  1 2 1
2.303  39.11  25  1 3 1
1.695  54.10  16  1 5 0
1.642  56.00  16  3 2 1

Crystal structure
abc: 5.706 8.883 4.784
angles: 90.00 90.00 90.00
Space group Pmn2_1 (No. 31)
One atom of each set of equivalent atoms:
Cu (0.000, 0.026, 0.000) (multiplicity 2)
P (0.000, 0.809, 0.438) (multiplicity 2)
H (0.000, 0.543, 0.712) (multiplicity 2)
H (0.000, 0.546, 0.074) (multiplicity 2)
H (0.138, 0.178, 0.429) (multiplicity 4)
H (0.149, 0.410, 0.898) (multiplicity 4)
N (0.000, 0.476, 0.895) (multiplicity 2)
O (0.000, 0.195, 0.307) (multiplicity 2)
O (0.000, 0.635, 0.395) (multiplicity 2)
O (0.000, 0.840, 0.754) (multiplicity 2)
O (0.218, 0.881, 0.288) (multiplicity 4)

=====

Calculated PXRD pattern of Nd5DyCd4 for Cu Kα, 1.54184 Å, from the GGA-PBE geometry in Alexandria.
Peak positions follow from Bragg's law for the DFT cell and can differ from measured ones.

Principal peaks in the range 2θ from 10° to 90°, sorted by position:
d_spacing  2theta  Rel. int.  (hkl)
2.792  32.05  100  1 0 5
2.689  33.32  50  1 1 0
2.057  44.02  7  0 0 10
1.901  47.84  18  2 0 0
1.634  56.31  14  1 1 10
1.572  58.75  35  2 1 5
1.396  67.03  8  2 0 10
1.202  79.75  8  3 1 0

Crystal structure
abc: 3.803 3.803 20.570
angles: 90.00 90.00 90.00
Space group P4/mmm (No. 123)
One atom of each set of equivalent atoms:
Nd (0.000, 0.000, 0.000) (multiplicity 1)
Nd (0.000, 0.000, 0.191) (multiplicity 2)
Nd (0.000, 0.000, 0.383) (multiplicity 2)
Dy (0.500, 0.500, 0.500) (multiplicity 1)
Cd (0.500, 0.500, 0.096) (multiplicity 2)
Cd (0.500, 0.500, 0.288) (multiplicity 2)

=====

Calculated PXRD pattern of ThMg4Sc3 for Cu Kα, 1.54184 Å, from the GGA-PBE geometry in Alexandria.
Peak positions follow from Bragg's law for the DFT cell and can differ from measured ones.

Principal peaks in the range 2θ from 10° to 90°, sorted by position:
d_spacing  2theta  Rel. int.  (hkl)
7.371  12.01  37  0 1 0
5.160  17.19  39  2 0 0
4.227  21.02  50  2 1 0
3.649  24.40  38  2 0 1
3.270  27.27  31  2 1 1
2.593  34.59  100  2 2 1
2.580  34.77  50  4 0 0
1.492  62.22  35  6 2 1

Crystal structure
abc: 10.320 7.371 5.160
angles: 90.00 90.00 90.00
Space group Pmma (No. 51)
One atom of each set of equivalent atoms:
Th (0.000, 0.000, 0.000) (multiplicity 2)
Mg (0.000, 0.266, 0.500) (multiplicity 4)
Mg (0.250, 0.266, 0.002) (multiplicity 4)
Sc (0.000, 0.500, 0.000) (multiplicity 2)
Sc (0.250, 0.000, 0.501) (multiplicity 2)
Sc (0.250, 0.500, 0.502) (multiplicity 2)

=====

Calculated PXRD pattern of Pr2Tm15Sc2 for Cu Kα, 1.54184 Å, from the GGA-PBE geometry in Alexandria.
Peak positions follow from Bragg's law for the DFT cell and can differ from measured ones.

Principal peaks in the range 2θ from 10° to 90°, sorted by position:
d_spacing  2theta  Rel. int.  (hkl)
5.495  16.13  37  1 1 0
3.210  27.79  23  0 2 4
2.899  30.85  29  0 0 6
2.808  31.87  35  2 0 5
2.783  32.16  66  0 3 3
2.747  32.59  36  2 2 0
2.483  36.18  100  2 2 3
1.586  58.16  23  6 0 0

Crystal structure
abc: 10.9896 10.9896 17.3926
angles: 90.00 90.00 120.00
Space group R-3m (No. 166, hexagonal axes)
One atom of each set of equivalent atoms:
Pr (0.0000, 0.0000, 0.1172) (multiplicity 6)
Tm (0.0000, 0.3074, 0.0000) (multiplicity 18)
Tm (0.0000, 0.5000, 0.5000) (multiplicity 9)
Tm (0.0148, 0.5074, 0.1385) (multiplicity 18)
Sc (0.0000, 0.0000, 0.3246) (multiplicity 6)

=====

Calculated PXRD pattern of Na4PuH7O9 for Cu Kα, 1.54184 Å, from the GGA-PBE geometry in Alexandria.
Peak positions follow from Bragg's law for the DFT cell and can differ from measured ones.

Principal peaks in the range 2θ from 10° to 90°, sorted by position:
d_spacing  2theta  Rel. int.  (hkl)
7.385  11.98  100  0 1 0
5.542  15.99  28  1 0 -1
5.505  16.10  31  1 0 0
5.114  17.34  42  0 0 2
4.991  17.77  28  0 1 -2
4.917  18.04  34  -1 1 1
4.718  18.81  33  1 -1 1
3.878  22.93  38  0 2 -1

Crystal structure
abc: 6.014 8.142 10.961
angles: 103.49 101.03 107.44
Space group P-1 (No. 2)
One atom of each set of equivalent atoms:
Na (0.028, 0.224, 0.093) (multiplicity 2)
Na (0.109, 0.357, 0.421) (multiplicity 2)
Na (0.290, 0.035, 0.584) (multiplicity 2)
Na (0.448, 0.163, 0.923) (multiplicity 2)
Pu (0.135, 0.914, 0.249) (multiplicity 2)
H (0.093, 0.329, 0.629) (multiplicity 2)
H (0.205, 0.509, 0.891) (multiplicity 2)
H (0.254, 0.613, 0.786) (multiplicity 2)
H (0.331, 0.575, 0.266) (multiplicity 2)
H (0.357, 0.682, 0.622) (multiplicity 2)
H (0.429, 0.145, 0.146) (multiplicity 2)
H (0.491, 0.460, 0.308) (multiplicity 2)
O (0.016, 0.196, 0.597) (multiplicity 2)
O (0.075, 0.947, 0.747) (multiplicity 2)
O (0.111, 0.274, 0.893) (multiplicity 2)
O (0.252, 0.575, 0.638) (multiplicity 2)
O (0.255, 0.632, 0.883) (multiplicity 2)
O (0.290, 0.035, 0.094) (multiplicity 2)
O (0.319, 0.456, 0.278) (multiplicity 2)
O (0.349, 0.780, 0.243) (multiplicity 2)
O (0.382, 0.105, 0.390) (multiplicity 2)

=====

Calculated PXRD pattern of Ba2Li3Hg4 for Cu Kα, 1.54184 Å, from the GGA-PBE geometry in Alexandria.
Peak positions follow from Bragg's law for the DFT cell and can differ from measured ones.

Principal peaks in the range 2θ from 10° to 90°, sorted by position:
d_spacing  2theta  Rel. int.  (hkl)
3.914  22.72  32  1 3 1
3.888  22.87  50  0 4 1
3.849  23.11  99  0 2 2
3.136  28.46  60  2 2 0
2.945  30.35  53  2 2 1
2.913  30.69  96  1 5 1
2.717  32.97  48  0 2 3
2.645  33.89  100  2 0 2

Crystal structure
abc: 6.720 17.449 8.577
angles: 90.00 90.00 90.00
Space group Cmce (No. 64)
One atom of each set of equivalent atoms:
Ba (0.000, 0.118, 0.087) (multiplicity 8)
Li (0.000, 0.000, 0.500) (multiplicity 4)
Li (0.250, 0.214, 0.750) (multiplicity 8)
Hg (0.000, 0.186, 0.477) (multiplicity 8)
Hg (0.250, 0.049, 0.750) (multiplicity 8)